[1]
The following is a computed PXRD pattern of Ba4LiGe4O12. It was derived from a GGA-PBE-relaxed structure, using CuKα.

Top 6 peaks for 5° ≤ 2θ ≤ 70°, in order of falling intensity:
2θ = 25.1°, I 100
2θ = 24.9°, I 62
2θ = 38.0°, I 58
2θ = 27.5°, I 54
2θ = 25.3°, I 51
2θ = 24.6°, I 46

Atomic structure:
```
data_Ba4LiGe4O12
_chemical_formula_sum 'Ba4 Li1 Ge4 O12'
_cell_length_a 4.733
_cell_length_b 5.962
_cell_length_c 12.991
_cell_angle_alpha 88.25
_cell_angle_beta 89.66
_cell_angle_gamma 88.78
_symmetry_space_group_name_H-M 'P 1'
_symmetry_Int_Tables_number 1
loop_
_symmetry_equiv_pos_as_xyz
'x,y,z'
loop_
_atom_site_label
_atom_site_fract_x
_atom_site_fract_y
_atom_site_fract_z
_atom_site_occupancy
Ba1 0.000 0.000 0.000 1
Ba2 0.050 0.364 0.509 1
Ba3 0.506 0.882 0.714 1
Ba4 0.560 0.547 0.202 1
Li1 0.588 0.204 0.381 1
Ge1 0.061 0.950 0.299 1
Ge2 0.453 0.488 0.939 1
Ge3 0.555 0.793 0.452 1
Ge4 0.958 0.395 0.785 1
O1 0.015 0.107 0.768 1
O2 0.021 0.797 0.186 1
O3 0.029 0.591 0.687 1
O4 0.074 0.469 0.913 1
O5 0.439 0.937 0.324 1
O6 0.498 0.504 0.406 1
O7 0.511 0.767 0.970 1
O8 0.523 0.281 0.034 1
O9 0.529 0.070 0.523 1
O10 0.577 0.429 0.810 1
O11 0.941 0.805 0.415 1
O12 0.943 0.230 0.299 1
```



[2]
The following is a computed PXRD pattern of Ba3Li2GeO6. It was derived from a GGA-PBE-relaxed structure, using CuKα.

Top 6 peaks for 5° ≤ 2θ ≤ 70°, in order of falling intensity:
2θ = 30.5°, I 100
2θ = 22.0°, I 84
2θ = 32.1°, I 82
2θ = 44.9°, I 53
2θ = 38.0°, I 47
2θ = 55.3°, I 36

Atomic structure:
```
data_Ba3Li2GeO6
_chemical_formula_sum 'Ba3 Li2 Ge1 O6'
_cell_length_a 5.8555
_cell_length_b 5.8555
_cell_length_c 6.6635
_cell_angle_alpha 90.00
_cell_angle_beta 90.00
_cell_angle_gamma 120.00
_symmetry_space_group_name_H-M 'P -3 m 1'
_symmetry_Int_Tables_number 164
_symmetry_space_group_name_Hall '-P 3 2"'
loop_
_atom_site_label
_atom_site_fract_x
_atom_site_fract_y
_atom_site_fract_z
_atom_site_occupancy
Ba1 0.0000 0.0000 0.0000 1
Ba2 0.3333 0.6667 0.6459 1
Li1 0.3333 0.6667 0.2433 1
Ge1 0.0000 0.0000 0.5000 1
O1 0.1585 0.3170 0.3250 1
```



[3]
The following is a computed PXRD pattern of BaLi2GeS. It was derived from a GGA-PBE-relaxed structure, using CuKα.

Top 6 peaks for 5° ≤ 2θ ≤ 70°, in order of falling intensity:
2θ = 30.7°, I 100
2θ = 26.5°, I 79
2θ = 41.0°, I 72
2θ = 15.2°, I 69
2θ = 37.8°, I 36
2θ = 63.9°, I 36

Atomic structure:
```
data_BaLi2GeS
_chemical_formula_sum 'Ba1 Li2 Ge1 S1'
_cell_length_a 4.762
_cell_length_b 4.762
_cell_length_c 5.826
_cell_angle_alpha 90.00
_cell_angle_beta 90.00
_cell_angle_gamma 90.00
_symmetry_space_group_name_H-M 'P 4/m m m'
_symmetry_Int_Tables_number 123
_symmetry_space_group_name_Hall '-P 4 2'
loop_
_atom_site_label
_atom_site_fract_x
_atom_site_fract_y
_atom_site_fract_z
_atom_site_occupancy
Ba1 0.000 0.000 0.000 1
Li1 0.000 0.500 0.500 1
Ge1 0.500 0.500 0.000 1
S1 0.500 0.500 0.500 1
```



[4]
The following is a computed PXRD pattern of Ba2LiTaGe. It was derived from a GGA-PBE-relaxed structure, using CuKα.

Top 6 peaks for 5° ≤ 2θ ≤ 70°, in order of falling intensity:
2θ = 27.3°, I 100
2θ = 28.0°, I 92
2θ = 23.3°, I 66
2θ = 47.7°, I 43
2θ = 36.8°, I 41
2θ = 49.1°, I 40

Atomic structure:
```
data_Ba2LiTaGe
_chemical_formula_sum 'Ba2 Li1 Ta1 Ge1'
_cell_length_a 6.366
_cell_length_b 6.366
_cell_length_c 4.761
_cell_angle_alpha 90.00
_cell_angle_beta 90.00
_cell_angle_gamma 90.00
_symmetry_space_group_name_H-M 'P 4/m m m'
_symmetry_Int_Tables_number 123
_symmetry_space_group_name_Hall '-P 4 2'
loop_
_atom_site_label
_atom_site_fract_x
_atom_site_fract_y
_atom_site_fract_z
_atom_site_occupancy
Ba1 0.000 0.500 0.000 1
Li1 0.000 0.000 0.500 1
Ta1 0.500 0.500 0.500 1
Ge1 0.000 0.000 0.000 1
```



[5]
The following is a computed PXRD pattern of Ba2Mg5Ge4. It was derived from a GGA-PBE-relaxed structure, using CuKα.

Top 6 peaks for 5° ≤ 2θ ≤ 70°, in order of falling intensity:
2θ = 32.3°, I 100
2θ = 36.1°, I 56
2θ = 27.7°, I 50
2θ = 27.3°, I 42
2θ = 23.0°, I 36
2θ = 31.6°, I 35

Atomic structure:
```
data_Ba2Mg5Ge4
_chemical_formula_sum 'Ba8 Mg20 Ge16'
_cell_length_a 6.522
_cell_length_b 11.423
_cell_length_c 15.445
_cell_angle_alpha 90.00
_cell_angle_beta 90.00
_cell_angle_gamma 90.00
_symmetry_space_group_name_H-M 'F m m m'
_symmetry_Int_Tables_number 69
_symmetry_space_group_name_Hall '-F 2 2'
loop_
_atom_site_label
_atom_site_fract_x
_atom_site_fract_y
_atom_site_fract_z
_atom_site_occupancy
Ba1 0.000 0.000 0.148 1
Mg1 0.000 0.000 0.500 1
Mg2 0.250 0.250 0.000 1
Mg3 0.250 0.250 0.250 1
Ge1 0.000 0.127 0.359 1
```



[6]
The following is a computed PXRD pattern of Ba5Mg18Ge13. It was derived from a GGA-PBE-relaxed structure, using CuKα.

Top 6 peaks for 5° ≤ 2θ ≤ 70°, in order of falling intensity:
2θ = 31.3°, I 100
2θ = 32.1°, I 96
2θ = 27.0°, I 76
2θ = 28.7°, I 64
2θ = 42.4°, I 63
2θ = 39.7°, I 45

Atomic structure:
```
data_Ba5Mg18Ge13
_chemical_formula_sum 'Ba5 Mg18 Ge13'
_cell_length_a 14.7525
_cell_length_b 14.7525
_cell_length_c 4.5384
_cell_angle_alpha 90.00
_cell_angle_beta 90.00
_cell_angle_gamma 120.00
_symmetry_space_group_name_H-M 'P 3 1 m'
_symmetry_Int_Tables_number 157
loop_
_symmetry_equiv_pos_as_xyz
'x,y,z'
'-y,x-y,z'
'-x+y,-x,z'
'y,x,z'
'x-y,-y,z'
'-x,-x+y,z'
loop_
_atom_site_label
_atom_site_fract_x
_atom_site_fract_y
_atom_site_fract_z
_atom_site_occupancy
Ba1 0.0000 0.8202 0.0000 1
Ba2 0.3333 0.6667 0.5040 1
Mg1 0.0000 0.2819 0.0103 1
Mg2 0.0000 0.4428 0.5095 1
Mg3 0.1223 0.6394 0.0030 1
Mg4 0.1775 0.3750 0.5033 1
Ge1 0.0000 0.0000 0.4552 1
Ge2 0.0000 0.1734 0.5117 1
Ge3 0.0000 0.6306 0.5029 1
Ge4 0.1680 0.4781 0.0034 1
```



Copy entry 3 word for word.
The following is a computed PXRD pattern of BaLi2GeS. It was derived from a GGA-PBE-relaxed structure, using CuKα.

Top 6 peaks for 5° ≤ 2θ ≤ 70°, in order of falling intensity:
2θ = 30.7°, I 100
2θ = 26.5°, I 79
2θ = 41.0°, I 72
2θ = 15.2°, I 69
2θ = 37.8°, I 36
2θ = 63.9°, I 36

Atomic structure:
```
data_BaLi2GeS
_chemical_formula_sum 'Ba1 Li2 Ge1 S1'
_cell_length_a 4.762
_cell_length_b 4.762
_cell_length_c 5.826
_cell_angle_alpha 90.00
_cell_angle_beta 90.00
_cell_angle_gamma 90.00
_symmetry_space_group_name_H-M 'P 4/m m m'
_symmetry_Int_Tables_number 123
_symmetry_space_group_name_Hall '-P 4 2'
loop_
_atom_site_label
_atom_site_fract_x
_atom_site_fract_y
_atom_site_fract_z
_atom_site_occupancy
Ba1 0.000 0.000 0.000 1
Li1 0.000 0.500 0.500 1
Ge1 0.500 0.500 0.000 1
S1 0.500 0.500 0.500 1
```